Computed XRD peak list
Compound: Li5Mn5O9F
Radiation: Cu Kα (weighted mean of Kα1 and Kα2)
Structure: DFT lattice parameters and positions (GGA+U)

The 8 most intense peaks (10 to 90 degrees two-theta), low angle first:
| 2theta | I/Imax |
| --- | --- |
| 18.00 | 100 |
| 33.17 | 19 |
| 35.07 | 15 |
| 35.62 | 13 |
| 39.83 | 35 |
| 42.91 | 27 |
| 43.67 | 26 |
| 60.42 | 16 |

```
Li5Mn5O9F
1.0
5.229 0.000 0.000
-1.103 5.265 0.000
-1.976 -2.563 7.182
Li Mn O F
5 5 9 1
Cartesian
0.000 0.000 0.000
-0.381 1.270 3.096
-0.485 2.248 5.941
2.463 0.640 1.577
2.174 1.796 4.515
-1.152 -0.679 5.150
0.583 2.930 0.847
1.519 -1.240 3.771
1.334 -0.104 6.596
3.030 3.516 2.317
-2.254 0.993 6.358
-1.374 2.896 3.951
-0.288 -1.209 6.854
0.489 0.440 4.903
1.262 2.365 2.552
2.176 4.100 0.639
2.485 -1.756 5.574
3.378 -0.191 3.354
4.037 2.089 1.224
0.694 -0.386 1.834
```